Diffraction record for Rb2SmO2. The X-ray diffraction stick pattern is computed, not measured: it uses a GGA-PBE-relaxed structure and CuKα.
Intensities are scaled so that the largest is 100.

Crystal structure
Cell: 6.003 7.817 11.951 Å, 90.00 90.00 90.00°
Sites, in units of the cell vectors:
Rb (0.012, 0.132, 0.268)
Rb (0.018, 0.127, 0.581)
Rb (0.482, 0.873, 0.081)
Rb (0.488, 0.868, 0.768)
Rb (0.512, 0.368, 0.732)
Rb (0.518, 0.373, 0.419)
Rb (0.982, 0.627, 0.919)
Rb (0.988, 0.632, 0.232)
Sm (0.044, 0.622, 0.542)
Sm (0.456, 0.378, 0.042)
Sm (0.544, 0.878, 0.458)
Sm (0.956, 0.122, 0.958)
O (0.007, 0.413, 0.435)
O (0.094, 0.337, 0.054)
O (0.406, 0.663, 0.554)
O (0.493, 0.587, 0.935)
O (0.507, 0.087, 0.565)
O (0.594, 0.163, 0.946)
O (0.906, 0.837, 0.446)
O (0.993, 0.913, 0.065)

Main lines, most intense first (2θ from 5° to 70°):
27.2 deg, I 100
26.9 deg, I 73
32.1 deg, I 72
29.8 deg, I 50
44.3 deg, I 47
14.8 deg, I 35
54.5 deg, I 27
29.2 deg, I 17
56.2 deg, I 17
46.5 deg, I 16
25.1 deg, I 14
51.3 deg, I 14

Diffraction record for Rb2Sm3O4. The X-ray diffraction stick pattern is computed, not measured: it uses a GGA-PBE-relaxed structure and CuKα.
Intensities are scaled so that the largest is 100.

Crystal structure
Cell: 9.131 9.131 6.843 Å, 102.57 102.57 45.89°
Sites, in units of the cell vectors:
Rb (0.028, 0.162, 0.419)
Rb (0.162, 0.028, 0.919)
Rb (0.838, 0.972, 0.081)
Rb (0.972, 0.838, 0.581)
Sm (0.202, 0.414, 0.877)
Sm (0.414, 0.202, 0.377)
Sm (0.477, 0.523, 0.250)
Sm (0.523, 0.477, 0.750)
Sm (0.586, 0.798, 0.623)
Sm (0.798, 0.586, 0.123)
O (0.145, 0.329, 0.135)
O (0.262, 0.639, 0.952)
O (0.329, 0.145, 0.635)
O (0.361, 0.738, 0.548)
O (0.639, 0.262, 0.452)
O (0.671, 0.855, 0.365)
O (0.738, 0.361, 0.048)
O (0.855, 0.671, 0.865)

Main lines, most intense first (2θ from 5° to 70°):
30.1 deg, I 100
31.3 deg, I 79
29.3 deg, I 76
30.4 deg, I 65
39.8 deg, I 36
45.1 deg, I 32
19.9 deg, I 31
26.6 deg, I 31
25.0 deg, I 30
13.6 deg, I 30
53.0 deg, I 23
46.6 deg, I 17

Diffraction record for Rb5TaO5. The X-ray diffraction stick pattern is computed, not measured: it uses a GGA-PBE-relaxed structure and CuKα.
Intensities are scaled so that the largest is 100.

Crystal structure
Cell: 6.854 6.854 11.390 Å, 98.88 98.88 116.08°
Sites, in units of the cell vectors:
Rb (0.017, 0.751, 0.452)
Rb (0.074, 0.926, 0.750)
Rb (0.249, 0.983, 0.048)
Rb (0.265, 0.478, 0.906)
Rb (0.478, 0.265, 0.406)
Rb (0.522, 0.735, 0.594)
Rb (0.735, 0.522, 0.094)
Rb (0.751, 0.017, 0.952)
Rb (0.926, 0.074, 0.250)
Rb (0.983, 0.249, 0.548)
Ta (0.345, 0.655, 0.250)
Ta (0.655, 0.345, 0.750)
O (0.179, 0.821, 0.250)
O (0.201, 0.501, 0.375)
O (0.211, 0.366, 0.132)
O (0.366, 0.211, 0.632)
O (0.499, 0.799, 0.125)
O (0.501, 0.201, 0.875)
O (0.634, 0.789, 0.368)
O (0.789, 0.634, 0.868)
O (0.799, 0.499, 0.625)
O (0.821, 0.179, 0.750)

Main lines, most intense first (2θ from 5° to 70°):
29.0 deg, I 100
30.7 deg, I 23
35.5 deg, I 22
34.5 deg, I 18
18.7 deg, I 13
59.8 deg, I 11
33.1 deg, I 11
47.6 deg, I 10
17.3 deg, I 10
15.1 deg, I 10
42.6 deg, I 10
50.3 deg, I 9

Diffraction record for Rb2TcO3. The X-ray diffraction stick pattern is computed, not measured: it uses a GGA-PBE-relaxed structure and CuKα.
Intensities are scaled so that the largest is 100.

Crystal structure
Cell: 6.582 6.582 7.589 Å, 90.00 90.00 120.00°
Sites, in units of the cell vectors:
Rb (0.000, 0.000, 0.000)
Rb (0.000, 0.000, 0.500)
Rb (0.333, 0.667, 0.250)
Rb (0.667, 0.333, 0.750)
Tc (0.333, 0.667, 0.750)
Tc (0.667, 0.333, 0.250)
O (0.121, 0.760, 0.749)
O (0.240, 0.361, 0.749)
O (0.361, 0.240, 0.251)
O (0.639, 0.879, 0.749)
O (0.760, 0.121, 0.251)
O (0.879, 0.639, 0.251)

Main lines, most intense first (2θ from 5° to 70°):
27.1 deg, I 100
28.3 deg, I 86
39.5 deg, I 43
55.9 deg, I 43
47.9 deg, I 34
48.6 deg, I 33
23.4 deg, I 18
63.8 deg, I 16
36.1 deg, I 10
19.5 deg, I 6
54.0 deg, I 4
61.4 deg, I 4

Diffraction record for Rb2Tc2O5. The X-ray diffraction stick pattern is computed, not measured: it uses a GGA-PBE-relaxed structure and CuKα.
Intensities are scaled so that the largest is 100.

Crystal structure
Cell: 5.241 5.241 6.704 Å, 112.15 112.15 63.77°
Sites, in units of the cell vectors:
Rb (0.000, 0.000, 0.000)
Rb (0.743, 0.743, 0.241)
Tc (0.209, 0.209, 0.626)
Tc (0.538, 0.538, 0.622)
O (0.307, 0.809, 0.423)
O (0.437, 0.936, 0.816)
O (0.444, 0.444, 0.834)
O (0.809, 0.307, 0.423)
O (0.936, 0.437, 0.816)

Main lines, most intense first (2θ from 5° to 70°):
27.4 deg, I 100
34.3 deg, I 93
28.2 deg, I 46
32.3 deg, I 45
31.3 deg, I 40
14.7 deg, I 34
21.3 deg, I 33
58.0 deg, I 32
46.0 deg, I 32
43.4 deg, I 30
44.5 deg, I 24
22.3 deg, I 23

Diffraction record for Rb2TcO3. The X-ray diffraction stick pattern is computed, not measured: it uses a GGA-PBE-relaxed structure and CuKα.
Intensities are scaled so that the largest is 100.

Crystal structure
Cell: 6.584 6.584 7.370 Å, 90.00 90.00 120.00°
Sites, in units of the cell vectors:
Rb (0.000, 0.000, 0.000)
Rb (0.000, 0.000, 0.500)
Rb (0.333, 0.667, 0.248)
Rb (0.667, 0.333, 0.752)
Tc (0.333, 0.667, 0.751)
Tc (0.667, 0.333, 0.249)
O (0.113, 0.364, 0.750)
O (0.251, 0.887, 0.750)
O (0.364, 0.251, 0.250)
O (0.636, 0.749, 0.750)
O (0.749, 0.113, 0.250)
O (0.887, 0.636, 0.250)

Main lines, most intense first (2θ from 5° to 70°):
27.1 deg, I 100
28.8 deg, I 83
40.0 deg, I 42
49.0 deg, I 34
47.9 deg, I 24
57.3 deg, I 24
64.1 deg, I 17
24.2 deg, I 16
55.9 deg, I 16
49.5 deg, I 10
36.6 deg, I 9
19.7 deg, I 6

Diffraction record for Rb6Zn2O5. The X-ray diffraction stick pattern is computed, not measured: it uses a GGA-PBE-relaxed structure and CuKα.
Intensities are scaled so that the largest is 100.

Crystal structure
Cell: 6.956 6.956 6.899 Å, 91.35 91.35 118.68°
Sites, in units of the cell vectors:
Rb (0.000, 0.000, 0.000)
Rb (0.291, 0.291, 0.635)
Rb (0.403, 0.873, 0.325)
Rb (0.427, 0.850, 0.820)
Rb (0.850, 0.427, 0.820)
Rb (0.873, 0.403, 0.325)
Zn (0.430, 0.430, 0.147)
Zn (0.838, 0.838, 0.517)
O (0.085, 0.809, 0.596)
O (0.199, 0.473, 0.045)
O (0.473, 0.199, 0.045)
O (0.592, 0.592, 0.382)
O (0.809, 0.085, 0.596)

Main lines, most intense first (2θ from 5° to 70°):
29.9 deg, I 100
29.3 deg, I 82
37.2 deg, I 39
35.5 deg, I 16
47.7 deg, I 16
32.6 deg, I 15
25.6 deg, I 13
48.4 deg, I 11
38.6 deg, I 10
29.0 deg, I 10
40.5 deg, I 10
54.0 deg, I 9

Diffraction record for Rb4ZrO4. The X-ray diffraction stick pattern is computed, not measured: it uses a GGA-PBE-relaxed structure and CuKα.
Intensities are scaled so that the largest is 100.

Crystal structure
Cell: 6.806 6.809 10.122 Å, 71.55 79.09 66.52°
Sites, in units of the cell vectors:
Rb (0.213, 0.467, 0.124)
Rb (0.237, 0.262, 0.531)
Rb (0.259, 0.906, 0.334)
Rb (0.278, 0.012, 0.940)
Rb (0.722, 0.988, 0.060)
Rb (0.741, 0.094, 0.666)
Rb (0.763, 0.738, 0.469)
Rb (0.787, 0.533, 0.876)
Zr (0.277, 0.655, 0.747)
Zr (0.723, 0.345, 0.253)
O (0.041, 0.797, 0.875)
O (0.133, 0.661, 0.590)
O (0.452, 0.349, 0.854)
O (0.464, 0.835, 0.688)
O (0.536, 0.165, 0.312)
O (0.548, 0.651, 0.146)
O (0.867, 0.339, 0.410)
O (0.959, 0.203, 0.125)

Main lines, most intense first (2θ from 5° to 70°):
28.6 deg, I 100
28.4 deg, I 52
31.4 deg, I 46
32.3 deg, I 46
27.9 deg, I 32
34.8 deg, I 30
48.0 deg, I 26
27.8 deg, I 25
34.5 deg, I 19
46.0 deg, I 18
48.9 deg, I 13
48.7 deg, I 12

Diffraction record for ReO3. The X-ray diffraction stick pattern is computed, not measured: it uses a GGA-PBE-relaxed structure and CuKα.
Intensities are scaled so that the largest is 100.

Crystal structure
Cell: 5.266 5.266 5.266 Å, 57.57 57.57 57.57°
Sites, in units of the cell vectors:
Re (0.000, 0.000, 0.000)
Re (0.500, 0.500, 0.500)
O (0.158, 0.750, 0.342)
O (0.250, 0.658, 0.842)
O (0.342, 0.158, 0.750)
O (0.658, 0.842, 0.250)
O (0.750, 0.342, 0.158)
O (0.842, 0.250, 0.658)

Main lines, most intense first (2θ from 5° to 70°):
24.4 deg, I 100
34.1 deg, I 33
35.4 deg, I 27
55.5 deg, I 23
57.2 deg, I 18
50.0 deg, I 17
43.5 deg, I 14
62.7 deg, I 13
63.5 deg, I 8
60.2 deg, I 7
41.3 deg, I 4
41.1 deg, I 1

Diffraction record for ReO4. The X-ray diffraction stick pattern is computed, not measured: it uses a GGA-PBE-relaxed structure and CuKα.
Intensities are scaled so that the largest is 100.

Crystal structure
Cell: 4.867 5.931 5.054 Å, 90.00 111.56 90.00°
Sites, in units of the cell vectors:
Re (0.000, 0.200, 0.250)
Re (0.000, 0.800, 0.750)
O (0.203, 0.091, 0.027)
O (0.203, 0.909, 0.527)
O (0.266, 0.377, 0.469)
O (0.266, 0.623, 0.969)
O (0.734, 0.377, 0.031)
O (0.734, 0.623, 0.531)
O (0.797, 0.091, 0.473)
O (0.797, 0.909, 0.973)

Main lines, most intense first (2θ from 5° to 70°):
24.2 deg, I 100
19.6 deg, I 89
26.4 deg, I 79
35.6 deg, I 32
36.2 deg, I 22
40.3 deg, I 19
36.0 deg, I 17
14.9 deg, I 17
44.6 deg, I 16
44.2 deg, I 16
30.1 deg, I 15
60.2 deg, I 13